Structure and simulated powder XRD pattern of Tl2MoCl2O2 (the PBE+U geometry in Alexandria; Cu Kα (λ = 1.5418 Å)).

Structure:
abc: 6.7528 6.7528 8.0635
angles: 120.20 120.20 33.29
Fractional coordinates of all 7 atoms:
Tl  0.1858  0.1858  0.2458
Tl  0.8142  0.8142  0.7542
Mo  0.0000  0.0000  0.5000
Cl  0.4463  0.4463  0.2553
Cl  0.5537  0.5537  0.7447
O  0.1595  0.1595  0.5534
O  0.8405  0.8405  0.4466

Top 10 peaks for 2θ from 10° to 90°, in order of falling intensity:
2theta, Rel. int.
29.65, 100
25.54, 75
27.87, 71
33.85, 66
33.64, 52
42.85, 50
22.19, 49
25.97, 34
24.38, 28
47.50, 26